# Pr2CdI2
Theoretical powder diffractogram, λ = 1.5418 Å (Cu Kα). Input: DFT lattice parameters and positions (PBE).

```
data_Pr2CdI2
_chemical_formula_sum 'Pr6 Cd3 I6'
_symmetry_space_group_name_H-M 'R -3 m'
_symmetry_Int_Tables_number 166
_symmetry_space_group_name_Hall '-R 3 2"'
_cell_length_a 4.2853
_cell_length_b 4.2853
_cell_length_c 37.1819
_cell_angle_alpha 90.00
_cell_angle_beta 90.00
_cell_angle_gamma 120.00
loop_
_atom_site_label
_atom_site_type_symbol
_atom_site_fract_x
_atom_site_fract_y
_atom_site_fract_z
_atom_site_occupancy
Pr1 Pr 0.0000 0.0000 0.1107 1
Cd1 Cd 0.0000 0.0000 0.5000 1
I1 I 0.0000 0.0000 0.2790 1
```

Main lines, sorted by position (10 to 90 degrees two-theta):
d [Å]  two_theta  intensity  index
3.321  26.85  1000  0 1 5
2.900  30.83  264  0 1 8
2.627  34.13  252  1 0 10
2.265  39.79  315  1 0 13
2.143  42.18  368  1 1 0
2.066  43.83  109  0 0 18
1.800  50.71  171  2 0 5
1.487  62.45  224  1 1 18
1.482  62.69  97  0 1 23
1.378  68.01  140  1 2 5

# Cd2PtI6
Theoretical powder diffractogram, λ = 1.5418 Å (Cu Kα). Input: DFT lattice parameters and positions (PBE).

```
data_Cd2PtI6
_chemical_formula_sum 'Cd8 Pt4 I24'
_symmetry_space_group_name_H-M 'C 1 2/c 1'
_symmetry_Int_Tables_number 15
_symmetry_space_group_name_Hall '-C 2yc'
_cell_length_a 12.5464
_cell_length_b 18.4643
_cell_length_c 7.8983
_cell_angle_alpha 90.00
_cell_angle_beta 117.20
_cell_angle_gamma 90.00
loop_
_atom_site_label
_atom_site_type_symbol
_atom_site_fract_x
_atom_site_fract_y
_atom_site_fract_z
_atom_site_occupancy
Cd1 Cd 0.2398 0.0855 0.3604 1
Pt1 Pt 0.0000 0.2843 0.2500 1
I1 I 0.0105 0.3839 0.4959 1
I2 I 0.0810 0.1891 0.0881 1
I3 I 0.1785 0.0494 0.6564 1
```

Main lines, sorted by position (10 to 90 degrees two-theta):
d [Å]  two_theta  intensity  index
7.149  12.38  784  1 1 -1
4.828  18.38  226  1 1 1
4.775  18.58  791  2 2 0
3.880  22.92  1000  2 0 -2
3.646  24.41  439  3 1 0
2.968  30.11  225  2 4 -2
2.793  32.05  236  4 0 0
2.768  32.35  256  3 1 1
2.681  33.42  515  1 5 -2
2.099  43.10  293  3 7 -2

# Cd2SnPtI
Theoretical powder diffractogram, λ = 1.5418 Å (Cu Kα). Input: DFT lattice parameters and positions (PBE).

```
data_Cd2SnPtI
_chemical_formula_sum 'Cd2 Sn1 Pt1 I1'
_symmetry_space_group_name_H-M 'P 4/m m m'
_symmetry_Int_Tables_number 123
_symmetry_space_group_name_Hall '-P 4 2'
_cell_length_a 5.3907
_cell_length_b 5.3907
_cell_length_c 5.0976
_cell_angle_alpha 90.00
_cell_angle_beta 90.00
_cell_angle_gamma 90.00
loop_
_atom_site_label
_atom_site_type_symbol
_atom_site_fract_x
_atom_site_fract_y
_atom_site_fract_z
_atom_site_occupancy
Cd1 Cd 0.0000 0.5000 0.0000 1
Sn1 Sn 0.0000 0.0000 0.5000 1
Pt1 Pt 0.0000 0.0000 0.0000 1
I1 I 0.5000 0.5000 0.5000 1
```

Main lines, sorted by position (10 to 90 degrees two-theta):
d [Å]  two_theta  intensity  index
5.391  16.44  417  1 0 0
3.812  23.34  233  1 1 0
3.704  24.03  393  1 0 1
3.053  29.26  516  1 1 1
2.695  33.24  1000  2 0 0
2.549  35.21  428  0 0 2
2.179  41.43  184  2 1 1
1.906  47.72  361  2 2 0
1.852  49.20  660  2 0 2
1.526  60.67  350  2 2 2

# PuCd2I6
Theoretical powder diffractogram, λ = 1.5418 Å (Cu Kα). Input: DFT lattice parameters and positions (PBE).

```
data_PuCd2I6
_chemical_formula_sum 'Pu3 Cd6 I18'
_symmetry_space_group_name_H-M 'R 3'
_symmetry_Int_Tables_number 146
_symmetry_space_group_name_Hall 'R 3'
_cell_length_a 8.1134
_cell_length_b 8.1134
_cell_length_c 23.2296
_cell_angle_alpha 90.00
_cell_angle_beta 90.00
_cell_angle_gamma 120.00
loop_
_atom_site_label
_atom_site_type_symbol
_atom_site_fract_x
_atom_site_fract_y
_atom_site_fract_z
_atom_site_occupancy
Pu1 Pu 0.0000 0.0000 0.0000 1
Cd1 Cd 0.0000 0.0000 0.6022 1
Cd2 Cd 0.0000 0.0000 0.7319 1
I1 I 0.0270 0.6698 0.7499 1
I2 I 0.0293 0.3575 0.5828 1
```

Main lines, sorted by position (10 to 90 degrees two-theta):
d [Å]  two_theta  intensity  index
7.743  11.43  178  0 0 3
6.726  13.16  308  1 0 1
6.012  14.73  183  0 1 2
3.873  22.97  267  0 0 6
3.593  24.78  1000  1 1 3
2.801  31.95  266  2 -1 6
2.342  38.43  417  3 0 0
2.178  41.47  202  2 -1 9
1.961  46.29  235  4 -2 3
1.492  62.21  168  3 0 12

# Rb2CdSI6
Theoretical powder diffractogram, λ = 1.5418 Å (Cu Kα). Input: DFT lattice parameters and positions (PBE).

```
data_Rb2CdSI6
_chemical_formula_sum 'Rb4 Cd2 S2 I12'
_symmetry_space_group_name_H-M 'I 4/m m m'
_symmetry_Int_Tables_number 139
_symmetry_space_group_name_Hall '-I 4 2'
_cell_length_a 8.4066
_cell_length_b 8.4066
_cell_length_c 11.8321
_cell_angle_alpha 90.00
_cell_angle_beta 90.00
_cell_angle_gamma 90.00
loop_
_atom_site_label
_atom_site_type_symbol
_atom_site_fract_x
_atom_site_fract_y
_atom_site_fract_z
_atom_site_occupancy
Rb1 Rb 0.0000 0.5000 0.2500 1
Cd1 Cd 0.0000 0.0000 0.0000 1
S1 S 0.0000 0.0000 0.5000 1
I1 I 0.0000 0.0000 0.2718 1
I2 I 0.2445 0.2445 0.0000 1
```

Main lines, sorted by position (10 to 90 degrees two-theta):
d [Å]  two_theta  intensity  index
5.934  14.93  258  0 0 2
3.427  26.00  1000  2 0 2
2.972  30.07  673  2 2 0
2.958  30.21  311  0 0 4
2.102  43.04  246  4 0 0
2.097  43.15  458  2 2 4
1.792  50.98  306  4 2 2
1.713  53.48  239  4 0 4
1.329  70.94  209  6 2 0
1.212  78.97  151  6 2 4

# CdS5I
Theoretical powder diffractogram, λ = 1.5418 Å (Cu Kα). Input: DFT lattice parameters and positions (PBE).

```
data_CdS5I
_chemical_formula_sum 'Cd1 S5 I1'
_symmetry_space_group_name_H-M 'P 1'
_symmetry_Int_Tables_number 1
_symmetry_space_group_name_Hall 'P 1'
_cell_length_a 4.4230
_cell_length_b 7.1106
_cell_length_c 7.7899
_cell_angle_alpha 82.59
_cell_angle_beta 86.62
_cell_angle_gamma 87.27
loop_
_atom_site_label
_atom_site_type_symbol
_atom_site_fract_x
_atom_site_fract_y
_atom_site_fract_z
_atom_site_occupancy
Cd1 Cd 0.0000 0.0000 0.0000 1
S1 S 0.0410 0.6331 0.0356 1
S2 S 0.2123 0.8204 0.4283 1
S3 S 0.7585 0.5640 0.2409 1
S4 S 0.9443 0.0348 0.3259 1
S5 S 0.9796 0.5685 0.4703 1
I1 I 0.5068 0.1698 0.8089 1
```

Main lines, sorted by position (10 to 90 degrees two-theta):
d [Å]  two_theta  intensity  index
7.714  11.47  427  0 0 1
7.045  12.56  526  0 1 0
5.564  15.93  1000  0 1 1
3.579  24.88  340  0 1 2
3.523  25.28  234  0 2 0
3.369  26.45  232  0 2 1
3.270  27.27  248  1 1 -1
2.984  29.95  303  1 0 2
2.809  31.86  262  1 2 0
2.129  42.46  232  -1 1 3

# Cd3S2I2
Theoretical powder diffractogram, λ = 1.5418 Å (Cu Kα). Input: DFT lattice parameters and positions (PBE).

```
data_Cd3S2I2
_chemical_formula_sum 'Cd6 S4 I4'
_symmetry_space_group_name_H-M 'C 1 2/m 1'
_symmetry_Int_Tables_number 12
_symmetry_space_group_name_Hall '-C 2y'
_cell_length_a 15.0252
_cell_length_b 4.1946
_cell_length_c 7.3079
_cell_angle_alpha 90.00
_cell_angle_beta 115.83
_cell_angle_gamma 90.00
loop_
_atom_site_label
_atom_site_type_symbol
_atom_site_fract_x
_atom_site_fract_y
_atom_site_fract_z
_atom_site_occupancy
Cd1 Cd 0.0000 0.0000 0.0000 1
Cd2 Cd 0.2486 0.0000 0.7254 1
S1 S 0.1562 0.0000 0.3100 1
I1 I 0.1112 0.5000 0.8026 1
```

Main lines, sorted by position (10 to 90 degrees two-theta):
d [Å]  two_theta  intensity  index
6.578  13.46  131  0 0 1
3.935  22.60  274  2 0 1
3.289  27.11  175  0 0 2
3.166  28.19  1000  3 1 -1
2.720  32.93  229  1 1 -2
2.552  35.16  184  2 0 2
2.413  37.26  180  6 0 -2
2.273  39.65  140  5 1 0
2.097  43.13  172  0 2 0
1.940  46.82  188  5 1 1

# Cd2S2I
Theoretical powder diffractogram, λ = 1.5418 Å (Cu Kα). Input: DFT lattice parameters and positions (PBE).

```
data_Cd2S2I
_chemical_formula_sum 'Cd4 S4 I2'
_symmetry_space_group_name_H-M 'P -1'
_symmetry_Int_Tables_number 2
_symmetry_space_group_name_Hall '-P 1'
_cell_length_a 6.7637
_cell_length_b 7.3215
_cell_length_c 7.4264
_cell_angle_alpha 117.91
_cell_angle_beta 111.23
_cell_angle_gamma 90.62
loop_
_atom_site_label
_atom_site_type_symbol
_atom_site_fract_x
_atom_site_fract_y
_atom_site_fract_z
_atom_site_occupancy
Cd1 Cd 0.0133 0.2697 0.0293 1
Cd2 Cd 0.3816 0.9088 0.6784 1
S1 S 0.0664 0.6627 0.3034 1
S2 S 0.2537 0.0012 0.9976 1
I1 I 0.3805 0.3060 0.6542 1
```

Main lines, sorted by position (10 to 90 degrees two-theta):
d [Å]  two_theta  intensity  index
3.601  24.72  1000  1 0 1
3.362  26.52  727  2 0 -1
3.272  27.26  712  1 0 -2
3.148  28.35  644  1 2 -1
3.097  28.83  290  1 -2 0
3.083  28.97  482  0 2 -2
2.250  40.08  318  -2 2 1
2.200  41.03  397  2 2 -3
1.989  45.61  329  0 0 3
1.975  45.95  290  2 -2 2

# Cd3Sb2I
Theoretical powder diffractogram, λ = 1.5418 Å (Cu Kα). Input: DFT lattice parameters and positions (PBE).

```
data_Cd3Sb2I
_chemical_formula_sum 'Cd12 Sb8 I4'
_symmetry_space_group_name_H-M 'C 1 c 1'
_symmetry_Int_Tables_number 9
_symmetry_space_group_name_Hall 'C -2yc'
_cell_length_a 8.3586
_cell_length_b 14.2476
_cell_length_c 8.0831
_cell_angle_alpha 90.00
_cell_angle_beta 110.57
_cell_angle_gamma 90.00
loop_
_atom_site_label
_atom_site_type_symbol
_atom_site_fract_x
_atom_site_fract_y
_atom_site_fract_z
_atom_site_occupancy
Cd1 Cd 0.0000 0.0914 0.0000 1
Cd2 Cd 0.4406 0.0981 0.4683 1
Cd3 Cd 0.4596 0.2689 0.9935 1
Sb1 Sb 0.0893 0.0758 0.3679 1
Sb2 Sb 0.1013 0.2521 0.8658 1
I1 I 0.0985 0.4148 0.3725 1
```

Main lines, sorted by position (10 to 90 degrees two-theta):
d [Å]  two_theta  intensity  index
3.913  22.73  483  2 0 0
3.885  22.89  1000  1 3 -1
3.784  23.51  528  0 0 2
2.403  37.42  519  3 3 -1
2.375  37.89  243  0 6 0
2.342  38.44  757  1 3 -3
2.032  44.58  309  3 3 -3
2.023  44.80  165  3 3 1
2.011  45.08  156  0 6 2
1.667  55.10  141  2 6 2

# Cd4SbSeI2
Theoretical powder diffractogram, λ = 1.5418 Å (Cu Kα). Input: DFT lattice parameters and positions (PBE).

```
data_Cd4SbSeI2
_chemical_formula_sum 'Cd8 Sb2 Se2 I4'
_symmetry_space_group_name_H-M 'P m n 21'
_symmetry_Int_Tables_number 31
_symmetry_space_group_name_Hall 'P 2ac -2'
_cell_length_a 10.2970
_cell_length_b 7.8462
_cell_length_c 7.6172
_cell_angle_alpha 90.00
_cell_angle_beta 90.00
_cell_angle_gamma 90.00
loop_
_atom_site_label
_atom_site_type_symbol
_atom_site_fract_x
_atom_site_fract_y
_atom_site_fract_z
_atom_site_occupancy
Cd1 Cd 0.0000 0.0936 0.0000 1
Cd2 Cd 0.0000 0.8900 0.4924 1
Cd3 Cd 0.2458 0.6859 0.0753 1
Sb1 Sb 0.0000 0.2053 0.6548 1
Se1 Se 0.0000 0.7883 0.1567 1
I1 I 0.2486 0.2940 0.1511 1
```

Main lines, sorted by position (10 to 90 degrees two-theta):
d [Å]  two_theta  intensity  index
4.305  20.63  1000  2 1 0
3.923  22.67  590  0 2 0
3.809  23.36  955  0 0 2
3.748  23.74  690  2 1 1
2.733  32.77  506  0 2 2
2.574  34.85  696  4 0 0
2.332  38.61  496  2 3 0
2.187  41.28  737  2 1 3
2.132  42.39  605  4 0 2
1.989  45.62  365  2 3 2

# SrCdSbI
Theoretical powder diffractogram, λ = 1.5418 Å (Cu Kα). Input: DFT lattice parameters and positions (PBE).

```
data_SrCdSbI
_chemical_formula_sum 'Sr6 Cd6 Sb6 I6'
_symmetry_space_group_name_H-M 'R -3 m'
_symmetry_Int_Tables_number 166
_symmetry_space_group_name_Hall '-R 3 2"'
_cell_length_a 4.7955
_cell_length_b 4.7955
_cell_length_c 46.2949
_cell_angle_alpha 90.00
_cell_angle_beta 90.00
_cell_angle_gamma 120.00
loop_
_atom_site_label
_atom_site_type_symbol
_atom_site_fract_x
_atom_site_fract_y
_atom_site_fract_z
_atom_site_occupancy
Sr1 Sr 0.0000 0.0000 0.0857 1
Cd1 Cd 0.0000 0.0000 0.3108 1
Sb1 Sb 0.0000 0.0000 0.3760 1
I1 I 0.0000 0.0000 0.2087 1
```

Main lines, sorted by position (10 to 90 degrees two-theta):
d [Å]  two_theta  intensity  index
4.088  21.74  450  0 1 2
3.909  22.75  186  1 0 4
3.517  25.32  697  1 0 7
3.091  28.88  691  1 0 10
2.703  33.14  404  1 0 13
2.398  37.51  1000  1 1 0
2.277  39.57  446  0 1 17
2.102  43.04  179  1 0 19
2.036  44.49  182  1 1 12
1.894  48.02  186  0 2 10

Question: Number 10 is which compound?
Answer: Cd4SbSeI2

Question: Which formula does entry 6 have?
Answer: CdS5I